# 1
Starting from a cell relaxed with GGA-PBE, the powder X-ray diffraction pattern of CdH8C2S2N4Cl2 was computed for CuKα.

Principal peaks in the range 2θ = 10–90°, in order of rising 2θ:
- 6.569 Å, 13.48°, intensity 33
- 5.699 Å, 15.55°, intensity 100
- 5.301 Å, 16.72°, intensity 73
- 4.272 Å, 20.79°, intensity 55
- 3.163 Å, 28.22°, intensity 80
- 2.650 Å, 33.82°, intensity 36

Structure:
Lattice parameters (Å, degrees): 13.1384 5.7934 6.3251 90.00 90.00 90.00
Space group Pmn2_1 (No. 31)
Asymmetric unit:
Cd  0.0000  0.2401  0.0000 (multiplicity 2)
H  0.0856  0.8938  0.5517 (multiplicity 4)
H  0.1182  0.5993  0.5613 (multiplicity 4)
H  0.1641  0.8948  0.0696 (multiplicity 4)
H  0.2074  0.1731  0.5323 (multiplicity 4)
C  0.2379  0.8279  0.5691 (multiplicity 4)
S  0.1736  0.3885  0.1030 (multiplicity 4)
N  0.1401  0.7679  0.5592 (multiplicity 4)
N  0.2381  0.9492  0.0577 (multiplicity 4)
Cl  0.0000  0.2513  0.5881 (multiplicity 2)
Cl  0.0000  0.8062  0.0694 (multiplicity 2)

***

# 2
Starting from a cell relaxed with GGA-PBE, the powder X-ray diffraction pattern of CdH9C5S3N2Cl was computed for CuKα.

Principal peaks in the range 2θ = 10–90°, in order of rising 2θ:
- 8.256 Å, 10.72°, intensity 100
- 7.545 Å, 11.73°, intensity 31
- 5.083 Å, 17.45°, intensity 23
- 3.862 Å, 23.03°, intensity 38
- 3.667 Å, 24.27°, intensity 28
- 3.065 Å, 29.14°, intensity 27

Structure:
Lattice parameters (Å, degrees): 8.0521 8.8236 9.0654 105.86 105.45 98.31
Space group P-1 (No. 2)
Asymmetric unit:
Cd  0.1409  0.3379  0.4835 (multiplicity 2)
H  0.0040  0.2384  0.8450 (multiplicity 2)
H  0.0084  0.7073  0.9518 (multiplicity 2)
H  0.1352  0.9013  0.0982 (multiplicity 2)
H  0.2817  0.7859  0.4158 (multiplicity 2)
H  0.3462  0.6850  0.9128 (multiplicity 2)
H  0.3880  0.9373  0.3471 (multiplicity 2)
H  0.4317  0.8803  0.0715 (multiplicity 2)
H  0.4682  0.2869  0.9107 (multiplicity 2)
H  0.4943  0.7786  0.3880 (multiplicity 2)
C  0.0807  0.7739  0.0801 (multiplicity 2)
C  0.1772  0.0393  0.6600 (multiplicity 2)
C  0.3678  0.8109  0.3455 (multiplicity 2)
C  0.4080  0.7484  0.0432 (multiplicity 2)
C  0.4726  0.3715  0.3161 (multiplicity 2)
S  0.1697  0.8844  0.7249 (multiplicity 2)
S  0.2595  0.6812  0.1409 (multiplicity 2)
S  0.3041  0.2176  0.2600 (multiplicity 2)
N  0.1902  0.1544  0.6170 (multiplicity 2)
N  0.4067  0.5165  0.6476 (multiplicity 2)
Cl  0.0082  0.5151  0.3069 (multiplicity 2)

***

# 3
Starting from a cell relaxed with GGA-PBE, the powder X-ray diffraction pattern of Cs2CdFeC6N6 was computed for CuKα.

Principal peaks in the range 2θ = 10–90°, in order of rising 2θ:
- 3.773 Å, 23.58°, intensity 100
- 2.668 Å, 33.59°, intensity 36
- 2.178 Å, 41.45°, intensity 38
- 1.887 Å, 48.24°, intensity 21
- 1.687 Å, 54.37°, intensity 24
- 1.426 Å, 65.44°, intensity 24

Structure:
Lattice parameters (Å, degrees): 10.6722 10.6722 10.6722 90.00 90.00 90.00
Space group Fm-3m (No. 225)
Asymmetric unit:
Cs  0.2500  0.2500  0.2500 (multiplicity 8)
Cd  0.0000  0.0000  0.0000 (multiplicity 4)
Fe  0.0000  0.0000  0.5000 (multiplicity 4)
C  0.0000  0.0000  0.3258 (multiplicity 24)
N  0.0000  0.0000  0.2153 (multiplicity 24)

***

# 4
Starting from a cell relaxed with GGA-PBE, the powder X-ray diffraction pattern of CdH12C18N2O6F4 was computed for CuKα.

Principal peaks in the range 2θ = 10–90°, in order of rising 2θ:
- 5.907 Å, 15.00°, intensity 79
- 5.649 Å, 15.69°, intensity 68
- 5.360 Å, 16.54°, intensity 85
- 3.555 Å, 25.05°, intensity 66
- 3.190 Å, 27.97°, intensity 90
- 2.989 Å, 29.89°, intensity 100

Structure:
Lattice parameters (Å, degrees): 6.7247 7.8207 8.1831 85.94 71.77 86.15
Space group P-1 (No. 2)
Asymmetric unit:
Cd  0.0000  0.0000  0.0000 (multiplicity 1)
H  0.1227  0.9731  0.5922 (multiplicity 2)
H  0.1332  0.5996  0.2045 (multiplicity 2)
H  0.1336  0.7688  0.3746 (multiplicity 2)
H  0.1399  0.3771  0.0077 (multiplicity 2)
H  0.3680  0.8514  0.0891 (multiplicity 2)
H  0.4043  0.9180  0.8979 (multiplicity 2)
C  0.0020  0.4364  0.4371 (multiplicity 2)
C  0.0632  0.8455  0.6311 (multiplicity 2)
C  0.0701  0.7286  0.5097 (multiplicity 2)
C  0.0774  0.4745  0.2590 (multiplicity 2)
C  0.0813  0.3497  0.1461 (multiplicity 2)
C  0.3668  0.1997  0.7286 (multiplicity 2)
C  0.4387  0.3551  0.6108 (multiplicity 2)
C  0.4631  0.3507  0.4363 (multiplicity 2)
C  0.4759  0.5060  0.6737 (multiplicity 2)
N  0.0133  0.1915  0.1987 (multiplicity 2)
O  0.1721  0.1783  0.7698 (multiplicity 2)
O  0.3123  0.8434  0.9911 (multiplicity 2)
O  0.4975  0.8939  0.2260 (multiplicity 2)
F  0.4257  0.2042  0.3750 (multiplicity 2)
F  0.4537  0.5116  0.8433 (multiplicity 2)